No. 1
Mn2CrPb2O9: computed X-ray diffraction stick pattern (Cu Kα X-rays), based on a GGA+U-relaxed structure.
Neutral-atom scattering factors, no anomalous dispersion.

Top 6 peaks for 5° ≤ 2θ ≤ 70°, by angle:
- 2θ = 18.52°, I = 59.5
- 2θ = 26.72°, I = 100.0
- 2θ = 28.24°, I = 53.7
- 2θ = 28.82°, I = 59.9
- 2θ = 29.36°, I = 84.5
- 2θ = 35.30°, I = 57.7

Structure:
Lattice parameters (Å, degrees): 5.111 7.747 10.519 91.35 98.41 109.21
Fractional coordinates of all 28 atoms:
Mn  0.098  0.196  0.498
Mn  0.303  0.604  0.507
Mn  0.697  0.396  0.493
Mn  0.902  0.804  0.502
Cr  0.317  0.236  0.951
Cr  0.683  0.764  0.049
Pb  0.008  0.397  0.176
Pb  0.410  0.965  0.265
Pb  0.590  0.035  0.735
Pb  0.992  0.603  0.824
O  0.052  0.406  0.596
O  0.060  0.330  0.937
O  0.080  0.987  0.396
O  0.195  0.018  0.894
O  0.237  0.784  0.611
O  0.331  0.392  0.403
O  0.446  0.654  0.135
O  0.460  0.259  0.108
O  0.465  0.228  0.589
O  0.535  0.772  0.411
O  0.540  0.741  0.892
O  0.554  0.346  0.865
O  0.669  0.608  0.597
O  0.763  0.216  0.389
O  0.805  0.982  0.106
O  0.920  0.013  0.604
O  0.940  0.670  0.063
O  0.948  0.594  0.404


No. 2
FeOF: computed X-ray diffraction stick pattern (Cu Kα X-rays), based on a GGA+U-relaxed structure.
Neutral-atom scattering factors, no anomalous dispersion.

Top 6 peaks for 5° ≤ 2θ ≤ 70°, by angle:
- 2θ = 26.36°, I = 100.0
- 2θ = 34.65°, I = 47.6
- 2θ = 39.59°, I = 17.3
- 2θ = 52.07°, I = 56.2
- 2θ = 54.26°, I = 15.6
- 2θ = 66.01°, I = 19.8

Structure:
Lattice parameters (Å, degrees): 7.430 7.430 7.430 99.89 99.89 131.04
Fractional coordinates of all 24 atoms:
Fe  0.249  0.224  0.004
Fe  0.255  0.251  0.475
Fe  0.276  0.780  0.025
Fe  0.280  0.755  0.504
Fe  0.720  0.245  0.496
Fe  0.724  0.220  0.975
Fe  0.745  0.749  0.525
Fe  0.751  0.776  0.996
O  0.092  0.089  0.191
O  0.398  0.901  0.309
O  0.401  0.592  0.503
O  0.411  0.102  0.003
O  0.589  0.898  0.997
O  0.599  0.408  0.497
O  0.602  0.099  0.691
O  0.908  0.911  0.809
F  0.091  0.593  0.692
F  0.093  0.901  0.502
F  0.101  0.409  0.002
F  0.401  0.399  0.808
F  0.599  0.601  0.192
F  0.899  0.591  0.998
F  0.907  0.099  0.498
F  0.909  0.407  0.308